Simulated powder X-ray diffraction pattern of Cs5Ga3Se7 for Cu Kα (weighted mean of Kα1 and Kα2), from a crystal structure in Alexandria, relaxed with PBE.
No peak broadening, texture or thermal motion is included.

The 8 most intense peaks (2θ from 10° to 90°), low angle first:
| two_theta | I (rel.) |
| --- | --- |
| 13.74 | 24.0 |
| 24.18 | 48.0 |
| 25.17 | 100.0 |
| 27.69 | 32.7 |
| 28.29 | 45.3 |
| 30.47 | 48.1 |
| 39.98 | 17.5 |
| 49.51 | 25.1 |

Atomic structure:
```
Cs5Ga3Se7
1.0
9.283 -6.651 0.000
9.283 6.651 0.000
-3.065 0.000 9.350
Cs Ga Se
10 6 14
Direct
0.022 0.440 0.781 Cs
0.155 0.845 0.000 Cs
0.287 0.713 0.500 Cs
0.426 0.426 0.806 Cs
0.440 0.022 0.781 Cs
0.560 0.978 0.219 Cs
0.574 0.574 0.194 Cs
0.713 0.287 0.500 Cs
0.845 0.155 0.000 Cs
0.978 0.560 0.219 Cs
0.071 0.071 0.443 Ga
0.213 0.213 0.319 Ga
0.346 0.346 0.164 Ga
0.654 0.654 0.836 Ga
0.787 0.787 0.681 Ga
0.929 0.929 0.557 Ga
0.004 0.284 0.388 Se
0.065 0.065 0.688 Se
0.204 0.204 0.067 Se
0.252 0.551 0.103 Se
0.284 0.004 0.388 Se
0.351 0.351 0.424 Se
0.449 0.748 0.897 Se
0.551 0.252 0.103 Se
0.649 0.649 0.576 Se
0.716 0.996 0.612 Se
0.748 0.449 0.897 Se
0.796 0.796 0.933 Se
0.935 0.935 0.312 Se
0.996 0.716 0.612 Se
```